This entry pairs a crystal structure of Rb3Mo10O30 with its simulated powder diffractogram. Radiation: Cu Kα. Structure: the PBE+U geometry in Alexandria.
Lines closer than 0.1° are merged.

Peak list (6 most intense, 2θ from 15° to 90°, most intense first)
2θ (°), Rel. int., index
25.28, 100, 2 2 -1
26.19, 96, 4 0 -3
26.77, 74, 2 0 2
28.78, 62, 2 2 -2
28.14, 49, 6 0 -1
47.27, 44, 0 4 0

Cell and atoms:
Lattice parameters (Å, degrees): 19.537 7.692 10.498 90.00 120.68 90.00
Space group C2/m (No. 12)
Unique sites:
Rb 0.000 0.000 0.000 [2 per cell]
Rb 0.178 0.500 0.225 [4 per cell]
Mo 0.076 0.244 0.462 [8 per cell]
Mo 0.141 0.251 0.843 [8 per cell]
Mo 0.221 0.500 0.674 [4 per cell]
O 0.041 0.257 0.643 [8 per cell]
O 0.075 0.000 0.489 [4 per cell]
O 0.087 0.500 0.494 [4 per cell]
O 0.093 0.241 0.316 [8 per cell]
O 0.094 0.280 0.942 [8 per cell]
O 0.142 0.000 0.828 [4 per cell]
O 0.156 0.500 0.811 [4 per cell]
O 0.183 0.258 0.661 [8 per cell]
O 0.187 0.000 0.164 [4 per cell]
O 0.244 0.500 0.534 [4 per cell]
O 0.250 0.250 0.000 [4 per cell]